Entry 1:
Diffraction record for Rb3YN6. The PXRD pattern is computed, not measured: it uses a structure optimized by DFT (PBE) and Cu Ka.
Neutral-atom scattering factors, no anomalous dispersion.

Cell lengths 8.175, 8.175, 8.175 Å; angles 91.19, 91.19, 91.19 degrees
Fractional positions:
Rb  0.095  0.750  0.405
Rb  0.250  0.595  0.905
Rb  0.405  0.095  0.750
Rb  0.595  0.905  0.250
Rb  0.750  0.405  0.095
Rb  0.905  0.250  0.595
Y  0.000  0.000  0.000
Y  0.500  0.500  0.500
N  0.059  0.936  0.734
N  0.064  0.266  0.941
N  0.234  0.436  0.559
N  0.266  0.941  0.064
N  0.436  0.559  0.234
N  0.441  0.766  0.564
N  0.559  0.234  0.436
N  0.564  0.441  0.766
N  0.734  0.059  0.936
N  0.766  0.564  0.441
N  0.936  0.734  0.059
N  0.941  0.064  0.266

The 6 most intense peaks (2θ from 10° to 90°), by angle:
2theta  d (Å)  I/Imax
15.5  5.718  586
24.6  3.624  978
26.4  3.372  1000
36.4  2.469  684
42.1  2.148  238
45.5  1.992  342

=====

Entry 2:
Diffraction record for MnVP2. The PXRD pattern is computed, not measured: it uses a structure optimized by DFT (PBE) and Cu Ka.
Neutral-atom scattering factors, no anomalous dispersion.

Cell lengths 3.064, 6.052, 5.329 Å; angles 90.00, 90.00, 90.00 degrees
Fractional positions:
Mn  0.000  0.062  0.000
Mn  0.000  0.938  0.500
V  0.500  0.451  0.015
V  0.500  0.549  0.515
P  0.000  0.300  0.326
P  0.000  0.700  0.826
P  0.500  0.174  0.696
P  0.500  0.826  0.196

The 6 most intense peaks (2θ from 10° to 90°), by angle:
2theta  d (Å)  I/Imax
32.8  2.733  582
37.0  2.432  353
45.4  1.998  1000
47.7  1.908  866
48.2  1.887  318
54.5  1.685  244

=====

Entry 3:
Diffraction record for BaH2Cl2. The PXRD pattern is computed, not measured: it uses a structure optimized by DFT (PBE) and Cu Ka.
Neutral-atom scattering factors, no anomalous dispersion.

Cell lengths 7.162, 8.596, 10.713 Å; angles 90.00, 130.93, 90.00 degrees
Fractional positions:
Ba  0.156  0.249  0.154
Ba  0.156  0.251  0.654
Ba  0.844  0.749  0.346
Ba  0.844  0.751  0.846
H  0.344  0.108  0.500
H  0.344  0.392  0.000
H  0.387  0.613  0.521
H  0.387  0.887  0.021
H  0.613  0.113  0.979
H  0.613  0.387  0.479
H  0.656  0.608  0.000
H  0.656  0.892  0.500
Cl  0.040  0.079  0.851
Cl  0.040  0.421  0.351
Cl  0.333  0.584  0.147
Cl  0.333  0.916  0.647
Cl  0.667  0.084  0.353
Cl  0.667  0.416  0.853
Cl  0.960  0.579  0.649
Cl  0.960  0.921  0.149

The 6 most intense peaks (2θ from 10° to 90°), by angle:
2theta  d (Å)  I/Imax
16.7  5.316  625
19.4  4.579  1000
19.6  4.521  960
32.5  2.751  733
35.3  2.540  796
38.5  2.339  665